No. 1
Calculated PXRD pattern of Th4Ni3Au for λ = 1.5418 Å (Cu Kα), from a structure optimized by DFT (PBE).
Peak positions follow from Bragg's law for the DFT cell and can differ from measured ones.

Top 10 peaks for 2θ = 15–90°, by angle:
2θ = 26.4°, rel. 34, (0 1 2); 2θ = 31.3°, rel. 27, (0 0 4); 2θ = 32.6°, rel. 100, (1 1 1); 2θ = 33.1°, rel. 46, (1 0 3); 2θ = 38.1°, rel. 22, (0 1 4); 2θ = 39.7°, rel. 42, (1 1 3); 2θ = 43.2°, rel. 25, (0 2 0); 2θ = 47.3°, rel. 19, (2 0 0); 2θ = 55.5°, rel. 22, (1 2 3); 2θ = 66.0°, rel. 15, (2 2 0)

Crystal structure
a = 3.8436 Å, b = 4.1871 Å, c = 11.4365 Å
α = 90.00°, β = 90.00°, γ = 90.00°
Space group Pmm2 (No. 25)
One atom of each set of equivalent atoms:
Th 0.0000 0.0000 0.0000 x1
Th 0.0000 0.5000 0.2639 x1
Th 0.5000 0.0000 0.4862 x1
Th 0.5000 0.5000 0.7960 x1
Ni 0.0000 0.5000 0.5278 x1
Ni 0.5000 0.0000 0.2193 x1
Ni 0.5000 0.5000 0.0706 x1
Au 0.0000 0.0000 0.6985 x1

No. 2
Calculated PXRD pattern of Cs2K13 for λ = 1.5418 Å (Cu Kα), from a structure optimized by DFT (PBE).
Peak positions follow from Bragg's law for the DFT cell and can differ from measured ones.

Top 10 peaks for 2θ = 15–90°, by angle:
2θ = 23.2°, rel. 100, (0 2 3); 2θ = 23.4°, rel. 97, (1 1 -2); 2θ = 23.7°, rel. 48, (1 3 1); 2θ = 24.1°, rel. 46, (-2 1 1); 2θ = 32.2°, rel. 19, (1 0 4); 2θ = 33.8°, rel. 18, (-1 4 2); 2θ = 34.4°, rel. 17, (3 2 0); 2θ = 40.4°, rel. 20, (0 3 -3); 2θ = 41.6°, rel. 20, (-2 3 4); 2θ = 41.7°, rel. 19, (3 4 3)

Crystal structure
a = 8.6729 Å, b = 11.9045 Å, c = 12.3386 Å
α = 67.16°, β = 80.76°, γ = 82.39°
Space group P-1 (No. 2)
One atom of each set of equivalent atoms:
Cs 0.1300 0.2996 0.4632 x2
K 0.0000 0.5000 0.0000 x1
K 0.0828 0.8928 0.7510 x2
K 0.1952 0.7177 0.1812 x2
K 0.2737 0.1050 0.9329 x2
K 0.3578 0.4966 0.6781 x2
K 0.3880 0.9065 0.3935 x2
K 0.4648 0.3022 0.1214 x2

No. 3
Calculated PXRD pattern of Pm2PuSi2 for λ = 1.5418 Å (Cu Kα), from a structure optimized by DFT (PBE).
Peak positions follow from Bragg's law for the DFT cell and can differ from measured ones.

Top 10 peaks for 2θ = 15–90°, by angle:
2θ = 17.3°, rel. 15, (0 1 1); 2θ = 22.5°, rel. 30, (1 0 1); 2θ = 28.0°, rel. 33, (0 2 0); 2θ = 32.1°, rel. 100, (1 1 2); 2θ = 34.2°, rel. 31, (0 1 3); 2θ = 36.2°, rel. 37, (1 2 1); 2θ = 40.5°, rel. 18, (2 0 0); 2θ = 52.1°, rel. 20, (1 3 2); 2θ = 54.0°, rel. 17, (2 1 3); 2θ = 64.9°, rel. 18, (1 2 5)

Crystal structure
a = 4.4517 Å, b = 6.3839 Å, c = 8.6319 Å
α = 90.00°, β = 90.00°, γ = 90.00°
Space group Immm (No. 71)
One atom of each set of equivalent atoms:
Pm 0.0000 0.0000 0.2068 x4
Pu 0.0000 0.5000 0.0000 x2
Si 0.0000 0.3037 0.5000 x4

No. 4
Calculated PXRD pattern of Pu2Ga3Au5 for λ = 1.5418 Å (Cu Kα), from a structure optimized by DFT (PBE).
Peak positions follow from Bragg's law for the DFT cell and can differ from measured ones.

Top 10 peaks for 2θ = 15–90°, by angle:
2θ = 30.1°, rel. 15, (0 0 4); 2θ = 31.0°, rel. 28, (1 0 3); 2θ = 33.7°, rel. 100, (1 1 2); 2θ = 43.0°, rel. 53, (2 0 0); 2θ = 43.8°, rel. 29, (1 0 5); 2θ = 54.0°, rel. 13, (2 1 3); 2θ = 62.5°, rel. 18, (2 2 0); 2θ = 63.1°, rel. 19, (2 1 5); 2θ = 72.9°, rel. 22, (3 1 2); 2θ = 88.7°, rel. 14, (1 1 10)

Crystal structure
a = 4.2034 Å, b = 4.2034 Å, c = 11.8739 Å
α = 90.00°, β = 90.00°, γ = 90.00°
Space group P-4m2 (No. 115)
One atom of each set of equivalent atoms:
Pu 0.0000 0.5000 0.2482 x2
Ga 0.0000 0.0000 0.0000 x1
Ga 0.0000 0.5000 0.8697 x2
Au 0.0000 0.0000 0.5000 x1
Au 0.0000 0.5000 0.6596 x2
Au 0.5000 0.5000 0.0000 x1
Au 0.5000 0.5000 0.5000 x1

No. 5
Calculated PXRD pattern of LiBi for λ = 1.5418 Å (Cu Kα), from a structure optimized by DFT (PBE).
Peak positions follow from Bragg's law for the DFT cell and can differ from measured ones.

Top 10 peaks for 2θ = 15–90°, by angle:
2θ = 20.8°, rel. 75, (0 0 1); 2θ = 26.5°, rel. 84, (1 0 0); 2θ = 33.9°, rel. 100, (1 0 1); 2θ = 37.9°, rel. 37, (1 1 0); 2θ = 43.6°, rel. 46, (1 1 1); 2θ = 50.6°, rel. 30, (1 0 2); 2θ = 58.0°, rel. 22, (1 1 2); 2θ = 59.1°, rel. 19, (2 0 1); 2θ = 65.9°, rel. 31, (2 1 1); 2θ = 77.7°, rel. 18, (2 1 2)

Crystal structure
a = 3.3577 Å, b = 3.3577 Å, c = 4.2794 Å
α = 90.00°, β = 90.00°, γ = 90.00°
Space group P4/mmm (No. 123)
One atom of each set of equivalent atoms:
Li 0.0000 0.0000 0.0000 x1
Bi 0.5000 0.5000 0.5000 x1

No. 6
Calculated PXRD pattern of Pr3Er2Tm for λ = 1.5418 Å (Cu Kα), from a structure optimized by DFT (PBE).
Peak positions follow from Bragg's law for the DFT cell and can differ from measured ones.

Top 10 peaks for 2θ = 15–90°, by angle:
2θ = 26.8°, rel. 42, (1 1 1); 2θ = 29.5°, rel. 35, (1 1 -3); 2θ = 30.7°, rel. 93, (4 0 -4); 2θ = 31.0°, rel. 100, (0 0 6); 2θ = 31.1°, rel. 27, (1 1 3); 2θ = 31.6°, rel. 84, (4 0 2); 2θ = 32.3°, rel. 43, (3 1 -1); 2θ = 33.8°, rel. 44, (3 1 1); 2θ = 35.7°, rel. 64, (1 1 -5); 2θ = 61.2°, rel. 35, (0 2 6)

Crystal structure
a = 13.2463 Å, b = 3.5553 Å, c = 17.7545 Å
α = 90.00°, β = 102.48°, γ = 90.00°
Space group C2/m (No. 12)
One atom of each set of equivalent atoms:
Pr 0.0683 0.0000 0.1702 x4
Pr 0.1275 0.5000 0.9903 x4
Pr 0.2370 0.5000 0.3389 x4
Er 0.1315 0.5000 0.5000 x4
Er 0.1957 0.0000 0.8334 x4
Tm 0.0402 0.5000 0.6811 x4

No. 7
Calculated PXRD pattern of Tl4In3Bi2 for λ = 1.5418 Å (Cu Kα), from a structure optimized by DFT (PBE).
Peak positions follow from Bragg's law for the DFT cell and can differ from measured ones.

Top 10 peaks for 2θ = 15–90°, by angle:
2θ = 31.3°, rel. 100, (3 1 0); 2θ = 32.0°, rel. 91, (1 1 -3); 2θ = 32.8°, rel. 43, (4 0 -3); 2θ = 34.3°, rel. 40, (0 2 0); 2θ = 42.3°, rel. 21, (2 0 3); 2θ = 48.2°, rel. 29, (4 2 -3); 2θ = 55.6°, rel. 18, (2 2 3); 2θ = 57.2°, rel. 17, (7 1 -3); 2θ = 59.6°, rel. 16, (3 3 0); 2θ = 60.0°, rel. 16, (1 3 -3)

Crystal structure
a = 11.8543 Å, b = 5.2218 Å, c = 10.2406 Å
α = 90.00°, β = 120.10°, γ = 90.00°
Space group C2/m (No. 12)
One atom of each set of equivalent atoms:
Tl 0.0061 0.0000 0.3319 x4
Tl 0.1611 0.5000 0.8978 x4
In 0.0000 0.0000 0.0000 x2
In 0.1564 0.5000 0.5567 x4
Bi 0.1785 0.5000 0.2500 x4

No. 8
Calculated PXRD pattern of Y5In2Si for λ = 1.5418 Å (Cu Kα), from a structure optimized by DFT (PBE).
Peak positions follow from Bragg's law for the DFT cell and can differ from measured ones.

Top 10 peaks for 2θ = 15–90°, by angle:
2θ = 30.6°, rel. 53, (1 3 1); 2θ = 31.0°, rel. 31, (1 4 0); 2θ = 32.3°, rel. 100, (2 1 1); 2θ = 33.5°, rel. 83, (0 4 1); 2θ = 34.6°, rel. 17, (2 2 1); 2θ = 36.2°, rel. 47, (0 0 2); 2θ = 48.4°, rel. 17, (1 4 2); 2θ = 50.1°, rel. 16, (2 3 2); 2θ = 57.1°, rel. 14, (3 5 1); 2θ = 62.6°, rel. 14, (2 1 3)

Crystal structure
a = 6.9115 Å, b = 12.6899 Å, c = 4.9689 Å
α = 90.00°, β = 90.00°, γ = 90.00°
Space group Pbam (No. 55)
One atom of each set of equivalent atoms:
Y 0.0000 0.0000 0.0000 x2
Y 0.1336 0.2816 0.0000 x4
Y 0.1690 0.5877 0.5000 x4
In 0.1057 0.8408 0.5000 x4
Si 0.0000 0.5000 0.0000 x2